Diffraction record for Sr2La2FeCoO8. The powder X-ray diffraction pattern is calculated, not measured: it uses a GGA+U-relaxed structure and Cu Kα (λ = 1.5418 Å).
Lines closer than 0.1° are merged.

Cell and atoms:
Cell: 5.4716 5.5019 12.7964 Å, 90.00 90.00 90.00°
Space group Amm2 (No. 38)
Inequivalent atoms, fractional coordinates:
Sr: 0.0000 0.0000 0.0000
Sr: 0.5000 0.0000 0.2121
La: 0.0000 0.0000 0.7150
La: 0.5000 0.0000 0.4957
Fe: 0.5000 0.0000 0.8597
Co: 0.0000 0.0000 0.3522
O: 0.0000 0.0000 0.1900
O: 0.0000 0.0000 0.5329
O: 0.2488 0.2498 0.3557
O: 0.5000 0.0000 0.0199
O: 0.5000 0.0000 0.6804

Principal peaks in the range 5 to 70 degrees two-theta, in order of rising 2θ:
2θ/deg  d_spacing  I/Imax
31.16  2.870  100
32.55  2.751  35
32.73  2.736  35
42.34  2.135  29
46.83  1.940  37
57.21  1.610  19

Diffraction record for Sr2La3Fe4CoO15. The powder X-ray diffraction pattern is calculated, not measured: it uses a GGA+U-relaxed structure and Cu Kα (λ = 1.5418 Å).
Lines closer than 0.1° are merged.

Cell and atoms:
Cell: 5.5118 5.5118 33.7699 Å, 90.00 90.00 120.00°
Space group R3m (No. 160, hexagonal axes)
Inequivalent atoms, fractional coordinates:
Sr: 0.0000 0.0000 0.0000
Sr: 0.0000 0.0000 0.2038
La: 0.0000 0.0000 0.3987
La: 0.0000 0.0000 0.6033
La: 0.0000 0.0000 0.8025
Fe: 0.0000 0.0000 0.1014
Fe: 0.0000 0.0000 0.5026
Fe: 0.0000 0.0000 0.6996
Fe: 0.0000 0.0000 0.9037
Co: 0.0000 0.0000 0.3016
O: 0.0064 0.5032 0.0014
O: 0.0059 0.5030 0.4032
O: 0.1672 0.3343 0.5344
O: 0.1695 0.3389 0.1339
O: 0.1694 0.3388 0.9356

Principal peaks in the range 5 to 70 degrees two-theta, in order of rising 2θ:
2θ/deg  d_spacing  I/Imax
22.81  3.898  7
32.48  2.756  100
40.06  2.251  16
46.60  1.949  34
57.95  1.591  37
68.03  1.378  20

Diffraction record for Sr2La3FeCo4O15. The powder X-ray diffraction pattern is calculated, not measured: it uses a GGA+U-relaxed structure and Cu Kα (λ = 1.5418 Å).
Lines closer than 0.1° are merged.

Cell and atoms:
Cell: 5.4993 5.4993 33.4032 Å, 90.00 90.00 120.00°
Space group R3m (No. 160, hexagonal axes)
Inequivalent atoms, fractional coordinates:
Sr: 0.0000 0.0000 0.0000
Sr: 0.0000 0.0000 0.2001
La: 0.0000 0.0000 0.4009
La: 0.0000 0.0000 0.6004
La: 0.0000 0.0000 0.8006
Fe: 0.0000 0.0000 0.3005
Co: 0.0000 0.0000 0.1002
Co: 0.0000 0.0000 0.5017
Co: 0.0000 0.0000 0.7004
Co: 0.0000 0.0000 0.9001
O: 0.0052 0.5026 0.5994
O: 0.0118 0.5059 0.4015
O: 0.1696 0.3391 0.5330
O: 0.1702 0.3404 0.1316
O: 0.1702 0.3404 0.3342

Principal peaks in the range 5 to 70 degrees two-theta, in order of rising 2θ:
2θ/deg  d_spacing  I/Imax
32.56  2.750  100
32.75  2.735  98
40.20  2.243  23
46.85  1.939  68
58.22  1.585  38
68.21  1.375  20

Diffraction record for Li4Mn2Fe3Co3O16. The powder X-ray diffraction pattern is calculated, not measured: it uses a GGA+U-relaxed structure and Cu Kα (λ = 1.5418 Å).
Lines closer than 0.1° are merged.

Cell and atoms:
Cell: 5.7838 5.7865 9.3799 Å, 89.55 89.28 60.04°
Space group P1 (No. 1)
Inequivalent atoms, fractional coordinates:
Li: 0.0000 0.0000 0.0000
Li: 0.9996 0.0012 0.5010
Li: 0.3448 0.3315 0.4068
Li: 0.6731 0.6738 0.9034
Mn: 0.3347 0.3448 0.9892
Mn: 0.6787 0.6649 0.4914
Fe: 0.1774 0.1682 0.7164
Fe: 0.3427 0.8355 0.2191
Fe: 0.8321 0.3425 0.2186
Co: 0.1745 0.6607 0.7199
Co: 0.6655 0.1726 0.7191
Co: 0.8325 0.8331 0.2190
O: 0.0022 0.9881 0.8098
O: 0.0454 0.5003 0.8486
O: 0.1636 0.1777 0.1016
O: 0.1678 0.6712 0.1027
O: 0.3404 0.8279 0.6009
O: 0.3449 0.3523 0.6157
O: 0.4859 0.4847 0.8414
O: 0.4911 0.0460 0.8501
O: 0.5347 0.9614 0.3525
O: 0.5385 0.5123 0.3522
O: 0.6737 0.1701 0.1057
O: 0.6844 0.6635 0.1117
O: 0.8398 0.3353 0.6034
O: 0.8440 0.8358 0.6068
O: 0.9688 0.5255 0.3436
O: 0.9912 0.0070 0.3124

Principal peaks in the range 5 to 70 degrees two-theta, in order of rising 2θ:
2θ/deg  d_spacing  I/Imax
18.92  4.690  93
20.04  4.431  100
20.19  4.399  48
37.09  2.424  55
46.71  1.945  31
64.41  1.447  56